1.
Tb8P6Cl: calculated powder diffractogram (Cu Kα), based on a cell relaxed with PBE.
Lines closer than 0.1° are merged.

Crystal structure
a = 10.662 Å, b = 10.662 Å, c = 4.127 Å
α = 90.00°, β = 90.00°, γ = 120.00°
Positions (direct):
Tb (0.036, 0.370, 0.245)
Tb (0.333, 0.667, 0.753)
Tb (0.334, 0.964, 0.245)
Tb (0.370, 0.334, 0.755)
Tb (0.630, 0.666, 0.245)
Tb (0.666, 0.036, 0.755)
Tb (0.667, 0.333, 0.247)
Tb (0.964, 0.630, 0.755)
P (0.143, 0.668, 0.254)
P (0.332, 0.475, 0.254)
P (0.475, 0.143, 0.746)
P (0.525, 0.857, 0.254)
P (0.668, 0.525, 0.746)
P (0.857, 0.332, 0.746)
Cl (0.000, 0.000, 0.000)

Main lines, in order of rising 2θ (5 to 70 degrees two-theta):
- (1 0 0), 2θ = 9.58°, d 9.233, intensity 45
- (2 -1 1), 2θ = 27.33°, d 3.263, intensity 68
- (3 0 0), 2θ = 29.01°, d 3.078, intensity 100
- (2 1 1), 2θ = 33.63°, d 2.665, intensity 33
- (2 2 1), 2θ = 40.28°, d 2.239, intensity 30
- (0 0 2), 2θ = 43.87°, d 2.064, intensity 13
- (5 -2 1), 2θ = 48.29°, d 1.885, intensity 24
- (5 -1 1), 2θ = 50.40°, d 1.811, intensity 16
- (3 0 2), 2θ = 53.46°, d 1.714, intensity 23
- (6 0 0), 2θ = 60.13°, d 1.539, intensity 21

2.
AlTlZnIr2: calculated powder diffractogram (Cu Kα), based on a cell relaxed with PBE.
Lines closer than 0.1° are merged.

Crystal structure
a = 4.661 Å, b = 4.661 Å, c = 4.767 Å
α = 90.00°, β = 90.00°, γ = 90.00°
Positions (direct):
Al (0.000, 0.000, 0.000)
Tl (0.500, 0.500, 0.000)
Zn (0.500, 0.500, 0.500)
Ir (0.000, 0.500, 0.500)
Ir (0.500, 0.000, 0.500)

Main lines, in order of rising 2θ (5 to 70 degrees two-theta):
- (0 0 1), 2θ = 18.61°, d 4.767, intensity 18
- (1 0 0), 2θ = 19.04°, d 4.661, intensity 40
- (1 1 1), 2θ = 33.04°, d 2.711, intensity 100
- (0 0 2), 2θ = 37.74°, d 2.384, intensity 28
- (2 0 0), 2θ = 38.64°, d 2.330, intensity 53
- (2 0 2), 2θ = 55.12°, d 1.666, intensity 38
- (2 2 0), 2θ = 55.79°, d 1.648, intensity 18
- (1 1 3), 2θ = 65.18°, d 1.431, intensity 15
- (3 1 1), 2θ = 66.39°, d 1.408, intensity 28
- (2 2 2), 2θ = 69.33°, d 1.355, intensity 19